(1)
Calculated XRD peak list
Compound: LiZn2
Radiation: a wavelength of 1.5418 Å
Structure: a structure optimized by DFT (PBE)

Largest 8 diffraction maxima, by intensity, 10° ≤ 2θ ≤ 90°:
- 2.740 Å, 2θ 32.7, I 100.0
- 2.373 Å, 2θ 37.9, I 51.3
- 1.827 Å, 2θ 49.9, I 47.6
- 5.481 Å, 2θ 16.2, I 44.7
- 2.178 Å, 2θ 41.5, I 29.6
- 1.329 Å, 2θ 70.9, I 21.4
- 1.678 Å, 2θ 54.7, I 21.2
- 1.236 Å, 2θ 77.2, I 14.4

Atomic structure:
abc: 9.4928 9.4928 9.4928
angles: 90.00 90.00 90.00
Space group Fd-3m (No. 227, origin choice 2)
One atom of each set of equivalent atoms:
Li: 0.0000 0.0000 0.0000 [16 per cell]
Zn: 0.0269 0.0269 0.7231 [32 per cell]

=====

(2)
Calculated XRD peak list
Compound: Li3Zn
Radiation: a wavelength of 1.5418 Å
Structure: a structure optimized by DFT (PBE)

Largest 8 diffraction maxima, by intensity, 10° ≤ 2θ ≤ 90°:
- 3.600 Å, 2θ 24.7, I 100.0
- 2.338 Å, 2θ 38.5, I 53.2
- 4.179 Å, 2θ 21.3, I 35.9
- 2.284 Å, 2θ 39.5, I 29.1
- 2.821 Å, 2θ 31.7, I 26.5
- 1.745 Å, 2θ 52.4, I 24.5
- 1.995 Å, 2θ 45.5, I 16.4
- 1.502 Å, 2θ 61.7, I 14.4

Atomic structure:
```
data_Li3Zn
_chemical_formula_sum 'Li6 Zn2'
_cell_length_a 3.9893
_cell_length_b 3.9893
_cell_length_c 8.3575
_cell_angle_alpha 90.00
_cell_angle_beta 90.00
_cell_angle_gamma 90.00
_symmetry_space_group_name_H-M 'I 4/m m m'
_symmetry_Int_Tables_number 139
_symmetry_space_group_name_Hall '-I 4 2'
loop_
_atom_site_label
_atom_site_fract_x
_atom_site_fract_y
_atom_site_fract_z
Li1 0.0000 0.0000 0.0000
Li2 0.0000 0.5000 0.2500
Zn1 0.0000 0.0000 0.5000
```

=====

(3)
Calculated XRD peak list
Compound: Lu
Radiation: a wavelength of 1.5418 Å
Structure: a structure optimized by DFT (PBE)

Largest 6 diffraction maxima, by intensity, 10° ≤ 2θ ≤ 90°:
- 2.764 Å, 2θ 32.4, I 100.0
- 1.596 Å, 2θ 57.8, I 39.0
- 1.954 Å, 2θ 46.5, I 18.5
- 1.236 Å, 2θ 77.2, I 16.8
- 1.382 Å, 2θ 67.8, I 12.1
- 1.128 Å, 2θ 86.2, I 4.3

Atomic structure:
```
data_Lu
_chemical_formula_sum 'Lu2'
_cell_length_a 3.9084
_cell_length_b 3.9084
_cell_length_c 3.9084
_cell_angle_alpha 90.00
_cell_angle_beta 90.00
_cell_angle_gamma 90.00
_symmetry_space_group_name_H-M 'I m -3 m'
_symmetry_Int_Tables_number 229
_symmetry_space_group_name_Hall '-I 4 2 3'
loop_
_atom_site_label
_atom_site_fract_x
_atom_site_fract_y
_atom_site_fract_z
Lu1 0.0000 0.0000 0.0000
```

=====

(4)
Calculated XRD peak list
Compound: Lu
Radiation: a wavelength of 1.5418 Å
Structure: a structure optimized by DFT (PBE)

Largest 8 diffraction maxima, by intensity, 10° ≤ 2θ ≤ 90°:
- 2.720 Å, 2θ 32.9, I 100.0
- 2.586 Å, 2θ 34.7, I 88.6
- 2.781 Å, 2θ 32.2, I 50.1
- 1.477 Å, 2θ 62.9, I 44.6
- 1.744 Å, 2θ 52.5, I 38.4
- 2.998 Å, 2θ 29.8, I 37.2
- 1.623 Å, 2θ 56.7, I 21.2
- 1.538 Å, 2θ 60.1, I 18.7

Atomic structure:
```
data_Lu
_chemical_formula_sum 'Lu9'
_cell_length_a 3.4871
_cell_length_b 3.4871
_cell_length_c 25.0300
_cell_angle_alpha 90.00
_cell_angle_beta 90.00
_cell_angle_gamma 120.00
_symmetry_space_group_name_H-M 'R -3 m'
_symmetry_Int_Tables_number 166
_symmetry_space_group_name_Hall '-R 3 2"'
loop_
_atom_site_label
_atom_site_fract_x
_atom_site_fract_y
_atom_site_fract_z
Lu1 0.0000 0.0000 0.0000
Lu2 0.0000 0.0000 0.2219
```

=====

(5)
Calculated XRD peak list
Compound: Lu
Radiation: a wavelength of 1.5418 Å
Structure: a structure optimized by DFT (PBE)

Largest 8 diffraction maxima, by intensity, 10° ≤ 2θ ≤ 90°:
- 2.666 Å, 2θ 33.6, I 100.0
- 3.053 Å, 2θ 29.3, I 23.9
- 2.735 Å, 2θ 32.7, I 23.8
- 1.482 Å, 2θ 62.7, I 22.4
- 1.565 Å, 2θ 59.0, I 20.2
- 1.762 Å, 2θ 51.9, I 19.8
- 1.470 Å, 2θ 63.3, I 16.4
- 2.037 Å, 2θ 44.5, I 15.5

Atomic structure:
```
data_Lu
_chemical_formula_sum 'Lu2'
_cell_length_a 3.5248
_cell_length_b 3.5248
_cell_length_c 5.4706
_cell_angle_alpha 90.00
_cell_angle_beta 90.00
_cell_angle_gamma 120.00
_symmetry_space_group_name_H-M 'P 63/m m c'
_symmetry_Int_Tables_number 194
_symmetry_space_group_name_Hall '-P 6c 2c'
loop_
_atom_site_label
_atom_site_fract_x
_atom_site_fract_y
_atom_site_fract_z
Lu1 0.3333 0.6667 0.2500
```

=====

(6)
Calculated XRD peak list
Compound: LuMg3
Radiation: a wavelength of 1.5418 Å
Structure: a structure optimized by DFT (PBE)

Largest 8 diffraction maxima, by intensity, 10° ≤ 2θ ≤ 90°:
- 4.606 Å, 2θ 19.3, I 100.0
- 2.659 Å, 2θ 33.7, I 98.4
- 3.257 Å, 2θ 27.4, I 86.5
- 2.060 Å, 2θ 44.0, I 49.4
- 2.303 Å, 2θ 39.1, I 49.1
- 1.389 Å, 2θ 67.4, I 38.8
- 1.880 Å, 2θ 48.4, I 37.5
- 1.628 Å, 2θ 56.5, I 33.3

Atomic structure:
```
data_LuMg3
_chemical_formula_sum 'Lu1 Mg3'
_cell_length_a 4.6056
_cell_length_b 4.6056
_cell_length_c 4.6056
_cell_angle_alpha 90.00
_cell_angle_beta 90.00
_cell_angle_gamma 90.00
_symmetry_space_group_name_H-M 'P m -3 m'
_symmetry_Int_Tables_number 221
_symmetry_space_group_name_Hall '-P 4 2 3'
loop_
_atom_site_label
_atom_site_fract_x
_atom_site_fract_y
_atom_site_fract_z
Lu1 0.0000 0.0000 0.0000
Mg1 0.0000 0.5000 0.5000
```

=====

(7)
Calculated XRD peak list
Compound: LuMg
Radiation: a wavelength of 1.5418 Å
Structure: a structure optimized by DFT (PBE)

Largest 8 diffraction maxima, by intensity, 10° ≤ 2θ ≤ 90°:
- 2.636 Å, 2θ 34.0, I 100.0
- 3.728 Å, 2θ 23.9, I 66.8
- 1.522 Å, 2θ 60.9, I 37.5
- 1.667 Å, 2θ 55.1, I 28.4
- 2.152 Å, 2θ 42.0, I 20.6
- 1.864 Å, 2θ 48.9, I 18.1
- 1.179 Å, 2θ 81.7, I 16.2
- 1.243 Å, 2θ 76.7, I 13.7

Atomic structure:
```
data_LuMg
_chemical_formula_sum 'Lu1 Mg1'
_cell_length_a 3.7279
_cell_length_b 3.7279
_cell_length_c 3.7279
_cell_angle_alpha 90.00
_cell_angle_beta 90.00
_cell_angle_gamma 90.00
_symmetry_space_group_name_H-M 'P m -3 m'
_symmetry_Int_Tables_number 221
_symmetry_space_group_name_Hall '-P 4 2 3'
loop_
_atom_site_label
_atom_site_fract_x
_atom_site_fract_y
_atom_site_fract_z
Lu1 0.0000 0.0000 0.0000
Mg1 0.5000 0.5000 0.5000
```

=====

(8)
Calculated XRD peak list
Compound: LuMg3
Radiation: a wavelength of 1.5418 Å
Structure: a structure optimized by DFT (PBE)

Largest 8 diffraction maxima, by intensity, 10° ≤ 2θ ≤ 90°:
- 2.567 Å, 2θ 35.0, I 100.0
- 4.192 Å, 2θ 21.2, I 80.0
- 2.189 Å, 2θ 41.2, I 44.1
- 3.630 Å, 2θ 24.5, I 42.4
- 1.482 Å, 2θ 62.7, I 36.3
- 1.666 Å, 2θ 55.1, I 19.2
- 1.815 Å, 2θ 50.3, I 17.7
- 1.623 Å, 2θ 56.7, I 17.7

Atomic structure:
```
data_LuMg3
_chemical_formula_sum 'Lu4 Mg12'
_cell_length_a 7.2604
_cell_length_b 7.2604
_cell_length_c 7.2604
_cell_angle_alpha 90.00
_cell_angle_beta 90.00
_cell_angle_gamma 90.00
_symmetry_space_group_name_H-M 'F m -3 m'
_symmetry_Int_Tables_number 225
_symmetry_space_group_name_Hall '-F 4 2 3'
loop_
_atom_site_label
_atom_site_fract_x
_atom_site_fract_y
_atom_site_fract_z
Lu1 0.0000 0.0000 0.0000
Mg1 0.0000 0.0000 0.5000
Mg2 0.2500 0.2500 0.2500
```

=====

(9)
Calculated XRD peak list
Compound: Lu5Mg24
Radiation: a wavelength of 1.5418 Å
Structure: a structure optimized by DFT (PBE)

Largest 8 diffraction maxima, by intensity, 10° ≤ 2θ ≤ 90°:
- 2.635 Å, 2θ 34.0, I 100.0
- 4.565 Å, 2θ 19.4, I 42.0
- 7.906 Å, 2θ 11.2, I 32.5
- 2.988 Å, 2θ 29.9, I 27.7
- 1.522 Å, 2θ 60.9, I 26.4
- 1.814 Å, 2θ 50.3, I 19.2
- 3.953 Å, 2θ 22.5, I 16.7
- 2.282 Å, 2θ 39.5, I 13.3

Atomic structure:
```
data_Lu5Mg24
_chemical_formula_sum 'Lu10 Mg48'
_cell_length_a 11.1811
_cell_length_b 11.1811
_cell_length_c 11.1811
_cell_angle_alpha 90.00
_cell_angle_beta 90.00
_cell_angle_gamma 90.00
_symmetry_space_group_name_H-M 'I -4 3 m'
_symmetry_Int_Tables_number 217
_symmetry_space_group_name_Hall 'I -4 2 3'
loop_
_atom_site_label
_atom_site_fract_x
_atom_site_fract_y
_atom_site_fract_z
Lu1 0.0000 0.0000 0.0000
Lu2 0.1830 0.1830 0.1830
Mg1 0.0376 0.3570 0.6430
Mg2 0.0896 0.0896 0.7197
```

=====

(10)
Calculated XRD peak list
Compound: LuMg3
Radiation: a wavelength of 1.5418 Å
Structure: a structure optimized by DFT (PBE)

Largest 8 diffraction maxima, by intensity, 10° ≤ 2θ ≤ 90°:
- 3.833 Å, 2θ 23.2, I 100.0
- 2.501 Å, 2θ 35.9, I 94.7
- 3.300 Å, 2θ 27.0, I 45.5
- 5.716 Å, 2θ 15.5, I 39.7
- 1.993 Å, 2θ 45.5, I 33.4
- 1.650 Å, 2θ 55.7, I 27.2
- 2.034 Å, 2θ 44.5, I 24.2
- 2.584 Å, 2θ 34.7, I 23.1

Atomic structure:
```
data_LuMg3
_chemical_formula_sum 'Lu2 Mg6'
_cell_length_a 6.6000
_cell_length_b 6.6000
_cell_length_c 5.1677
_cell_angle_alpha 90.00
_cell_angle_beta 90.00
_cell_angle_gamma 120.00
_symmetry_space_group_name_H-M 'P 63/m m c'
_symmetry_Int_Tables_number 194
_symmetry_space_group_name_Hall '-P 6c 2c'
loop_
_atom_site_label
_atom_site_fract_x
_atom_site_fract_y
_atom_site_fract_z
Lu1 0.3333 0.6667 0.2500
Mg1 0.1643 0.3287 0.7500
```

=====

(11)
Calculated XRD peak list
Compound: LuMg2Mn3S8
Radiation: a wavelength of 1.5418 Å
Structure: a structure optimized by DFT (PBE)

Largest 8 diffraction maxima, by intensity, 10° ≤ 2θ ≤ 90°:
- 6.035 Å, 2θ 14.7, I 100.0
- 2.618 Å, 2θ 34.2, I 85.7
- 3.156 Å, 2θ 28.3, I 68.6
- 2.014 Å, 2θ 45.0, I 42.9
- 1.846 Å, 2θ 49.4, I 40.7
- 1.857 Å, 2θ 49.1, I 37.5
- 3.169 Å, 2θ 28.2, I 30.4
- 3.692 Å, 2θ 24.1, I 20.7

Atomic structure:
```
data_LuMg2Mn3S8
_chemical_formula_sum 'Lu3 Mg6 Mn9 S24'
_cell_length_a 7.3846
_cell_length_b 7.3846
_cell_length_c 18.2441
_cell_angle_alpha 90.00
_cell_angle_beta 90.00
_cell_angle_gamma 120.00
_symmetry_space_group_name_H-M 'R -3 m'
_symmetry_Int_Tables_number 166
_symmetry_space_group_name_Hall '-R 3 2"'
loop_
_atom_site_label
_atom_site_fract_x
_atom_site_fract_y
_atom_site_fract_z
Lu1 0.0000 0.0000 0.0000
Mg1 0.0000 0.0000 0.3749
Mn1 0.0000 0.5000 0.5000
S1 0.0000 0.0000 0.2394
S2 0.0195 0.5097 0.7611
```

=====

(12)
Calculated XRD peak list
Compound: LuMgMoS4
Radiation: a wavelength of 1.5418 Å
Structure: a structure optimized by DFT (PBE)

Largest 8 diffraction maxima, by intensity, 10° ≤ 2θ ≤ 90°:
- 6.196 Å, 2θ 14.3, I 100.0
- 3.241 Å, 2θ 27.5, I 60.4
- 1.897 Å, 2θ 48.0, I 59.0
- 2.688 Å, 2θ 33.3, I 53.6
- 3.229 Å, 2θ 27.6, I 30.9
- 2.675 Å, 2θ 33.5, I 26.4
- 2.069 Å, 2θ 43.8, I 23.3
- 3.099 Å, 2θ 28.8, I 21.1

Atomic structure:
```
data_LuMgMoS4
_chemical_formula_sum 'Lu4 Mg4 Mo4 S16'
_cell_length_a 7.5944
_cell_length_b 7.6108
_cell_length_c 10.7014
_cell_angle_alpha 90.00
_cell_angle_beta 90.00
_cell_angle_gamma 90.00
_symmetry_space_group_name_H-M 'I m m a'
_symmetry_Int_Tables_number 74
_symmetry_space_group_name_Hall '-I 2b 2'
loop_
_atom_site_label
_atom_site_fract_x
_atom_site_fract_y
_atom_site_fract_z
Lu1 0.0000 0.0000 0.0000
Mg1 0.0000 0.2500 0.3764
Mo1 0.2500 0.2500 0.7500
S1 0.0000 0.0260 0.7503
S2 0.2433 0.2500 0.9863
```